BCl3: calculated powder diffractogram (λ = 1.5418 Å (Cu Kα)), based on a cell relaxed with PBE.
No peak broadening, texture or thermal motion is included.

Crystal structure
a = 6.4778 Å, b = 6.4778 Å, c = 7.6559 Å
α = 90.00°, β = 90.00°, γ = 120.00°
Positions (direct):
1 B 0.3333 0.6667 0.2500
2 B 0.6667 0.3333 0.7500
3 Cl 0.0688 0.3932 0.2500
4 Cl 0.3244 0.9312 0.2500
5 Cl 0.3932 0.3244 0.7500
6 Cl 0.6068 0.6756 0.2500
7 Cl 0.6756 0.0688 0.7500
8 Cl 0.9312 0.6068 0.7500

Main lines, by angle (2θ from 10° to 80°):
- 2θ = 19.6°, d = 4.525 Å, rel. 55
- 2θ = 23.2°, d = 3.828 Å, rel. 74
- 2θ = 30.0°, d = 2.983 Å, rel. 100
- 2θ = 42.6°, d = 2.120 Å, rel. 16
- 2θ = 45.2°, d = 2.005 Å, rel. 27
- 2θ = 49.1°, d = 1.855 Å, rel. 20

=====

BCl: calculated powder diffractogram (λ = 1.5418 Å (Cu Kα)), based on a cell relaxed with PBE.
No peak broadening, texture or thermal motion is included.

Crystal structure
a = 9.7180 Å, b = 11.7053 Å, c = 11.7220 Å
α = 83.75°, β = 81.18°, γ = 80.89°
Positions (direct):
1 B 0.0000 0.0000 0.0000
2 B 0.0000 0.1691 0.8303
3 B 0.0270 0.0261 0.8572
4 B 0.4775 0.8340 0.5142
5 B 0.4789 0.6827 0.6639
6 B 0.4981 0.8278 0.6590
7 B 0.5012 0.7002 0.0256
8 B 0.5035 0.1923 0.5327
9 B 0.5908 0.1868 0.0184
10 B 0.6396 0.8140 0.5404
11 B 0.6405 0.7094 0.6443
12 B 0.7529 0.1559 0.9867
13 B 0.8251 0.0253 0.0315
14 B 0.8252 0.2022 0.8571
15 B 0.8289 0.6135 0.4454
16 B 0.9021 0.6953 0.5262
17 B 0.9906 0.1309 0.4735
18 B 0.9952 0.6412 0.9584
19 Cl 0.0000 0.4981 0.0136
20 Cl 0.0054 0.1803 0.3285
21 Cl 0.0646 0.9241 0.7543
22 Cl 0.0870 0.6838 0.5142
23 Cl 0.1236 0.2643 0.7814
24 Cl 0.1255 0.9512 0.0941
25 Cl 0.3589 0.8861 0.4212
26 Cl 0.3613 0.5892 0.7154
27 Cl 0.4147 0.2047 0.0373
28 Cl 0.4286 0.9269 0.7599
29 Cl 0.4481 0.6509 0.1673
30 Cl 0.4493 0.3336 0.4813
31 Cl 0.7302 0.2802 0.7469
32 Cl 0.7349 0.9116 0.1067
33 Cl 0.7978 0.6643 0.3043
34 Cl 0.8014 0.4717 0.4965
35 Cl 0.8118 0.8625 0.4953
36 Cl 0.8132 0.6649 0.6932

Main lines, by angle (2θ from 10° to 80°):
- 2θ = 10.4°, d = 8.529 Å, rel. 54
- 2θ = 20.6°, d = 4.308 Å, rel. 74
- 2θ = 23.1°, d = 3.842 Å, rel. 66
- 2θ = 24.6°, d = 3.618 Å, rel. 72
- 2θ = 25.0°, d = 3.560 Å, rel. 100
- 2θ = 25.1°, d = 3.544 Å, rel. 60

=====

Cs3B12H12Cl: calculated powder diffractogram (λ = 1.5418 Å (Cu Kα)), based on a cell relaxed with PBE.
No peak broadening, texture or thermal motion is included.

Crystal structure
a = 7.2703 Å, b = 7.2703 Å, c = 7.2703 Å
α = 92.65°, β = 92.65°, γ = 92.65°
Positions (direct):
1 Cs 0.0000 0.5000 0.5000
2 Cs 0.5000 0.0000 0.5000
3 Cs 0.5000 0.5000 0.0000
4 B 0.0558 0.0558 0.2249
5 B 0.0558 0.2249 0.0558
6 B 0.1178 0.1178 0.8441
7 B 0.1178 0.8441 0.1178
8 B 0.1559 0.8822 0.8822
9 B 0.2249 0.0558 0.0558
10 B 0.7751 0.9442 0.9442
11 B 0.8441 0.1178 0.1178
12 B 0.8822 0.1559 0.8822
13 B 0.8822 0.8822 0.1559
14 B 0.9442 0.7751 0.9442
15 B 0.9442 0.9442 0.7751
16 H 0.0947 0.0947 0.3849
17 H 0.0947 0.3849 0.0947
18 H 0.2025 0.2025 0.7341
19 H 0.2025 0.7341 0.2025
20 H 0.2659 0.7975 0.7975
21 H 0.3849 0.0947 0.0947
22 H 0.6151 0.9053 0.9053
23 H 0.7341 0.2025 0.2025
24 H 0.7975 0.2659 0.7975
25 H 0.7975 0.7975 0.2659
26 H 0.9053 0.6151 0.9053
27 H 0.9053 0.9053 0.6151
28 Cl 0.5000 0.5000 0.5000

Main lines, by angle (2θ from 10° to 80°):
- 2θ = 20.9°, d = 4.258 Å, rel. 100
- 2θ = 22.2°, d = 3.999 Å, rel. 28
- 2θ = 24.5°, d = 3.627 Å, rel. 89
- 2θ = 34.1°, d = 2.629 Å, rel. 36
- 2θ = 35.9°, d = 2.505 Å, rel. 32
- 2θ = 41.1°, d = 2.197 Å, rel. 30

=====

MgCu2B2H8Cl2O8: calculated powder diffractogram (λ = 1.5418 Å (Cu Kα)), based on a cell relaxed with PBE.
No peak broadening, texture or thermal motion is included.

Crystal structure
a = 6.6311 Å, b = 5.2533 Å, c = 6.6421 Å
α = 90.00°, β = 90.12°, γ = 90.00°
Positions (direct):
1 Mg 0.0000 0.0000 0.0000
2 Cu 0.0000 0.6007 0.5000
3 Cu 0.5000 0.4039 0.0000
4 B 0.0000 0.5001 0.0000
5 B 0.5000 0.5007 0.5000
6 H 0.1839 0.3546 0.7719
7 H 0.2282 0.6446 0.1852
8 H 0.3343 0.2254 0.3585
9 H 0.3585 0.7760 0.6654
10 H 0.6415 0.7760 0.3346
11 H 0.6657 0.2254 0.6415
12 H 0.7718 0.6446 0.8148
13 H 0.8161 0.3546 0.2281
14 Cl 0.0000 0.1415 0.5000
15 Cl 0.5000 0.8600 0.0000
16 O 0.0862 0.6790 0.1498
17 O 0.1500 0.3211 0.9141
18 O 0.3223 0.6570 0.5574
19 O 0.4420 0.3448 0.3224
20 O 0.5580 0.3448 0.6776
21 O 0.6777 0.6570 0.4426
22 O 0.8500 0.3211 0.0859
23 O 0.9138 0.6790 0.8502

Main lines, by angle (2θ from 10° to 80°):
- 2θ = 16.9°, d = 5.253 Å, rel. 41
- 2θ = 18.9°, d = 4.693 Å, rel. 34
- 2θ = 26.9°, d = 3.318 Å, rel. 100
- 2θ = 36.8°, d = 2.442 Å, rel. 63
- 2θ = 46.1°, d = 1.967 Å, rel. 38
- 2θ = 54.2°, d = 1.692 Å, rel. 31

=====

Which formula does entry 3 have? Cs3B12H12Cl